1.
Starting from a DFT-relaxed cell (GGA-PBE, OQMD), the powder XRD pattern of KNdSiSe3 was simulated for λ = 1.5418 Å (Cu Kα).

Largest 8 diffraction maxima, by intensity, 10° ≤ 2θ ≤ 80°:
- 2θ 13.00, rel. 100, hkl 0 2 0
- 2θ 27.31, rel. 85, hkl 1 3 0
- 2θ 28.42, rel. 51, hkl 1 3 1
- 2θ 31.51, rel. 49, hkl 1 3 2
- 2θ 37.25, rel. 45, hkl 1 1 4
- 2θ 26.69, rel. 43, hkl 0 2 3
- 2θ 38.30, rel. 41, hkl 2 0 0
- 2θ 41.41, rel. 38, hkl 1 5 2

Cell: 4.7007 13.6164 11.5006 Å, 90.00 90.00 90.00°
Space group Cmcm (No. 63)
Unique sites:
K (0.0000, 0.2439, 0.2500) (multiplicity 4)
Nd (0.0000, 0.5000, 0.0000) (multiplicity 4)
Si (0.0000, 0.0221, 0.7500) (multiplicity 4)
Se (0.0000, 0.1283, 0.5763) (multiplicity 8)
Se (0.0000, 0.4482, 0.7500) (multiplicity 4)



2.
Starting from a DFT-relaxed cell (GGA-PBE, OQMD), the powder XRD pattern of KNiPSe5 was simulated for λ = 1.5418 Å (Cu Kα).

Largest 8 diffraction maxima, by intensity, 10° ≤ 2θ ≤ 80°:
- 2θ 32.71, rel. 100, hkl 4 2 -1
- 2θ 15.34, rel. 95, hkl 2 0 -1
- 2θ 29.75, rel. 92, hkl 2 0 2
- 2θ 13.27, rel. 52, hkl 0 0 1
- 2θ 48.79, rel. 44, hkl 0 4 0
- 2θ 29.44, rel. 43, hkl 6 0 0
- 2θ 39.18, rel. 40, hkl 6 2 -1
- 2θ 25.79, rel. 39, hkl 2 2 0

Cell: 18.3785 7.4672 6.7379 Å, 90.00 97.93 90.00°
Space group C2/m (No. 12)
Unique sites:
K (0.2297, 0.0000, 0.2265) (multiplicity 4)
Ni (0.0000, 0.2565, 0.0000) (multiplicity 4)
P (0.1360, 0.5000, 0.2175) (multiplicity 4)
Se (0.0498, 0.0000, 0.8611) (multiplicity 4)
Se (0.0801, 0.5000, 0.8933) (multiplicity 4)
Se (0.0816, 0.2512, 0.3120) (multiplicity 8)
Se (0.2446, 0.0000, 0.7343) (multiplicity 4)



3.
Starting from a DFT-relaxed cell (GGA-PBE, OQMD), the powder XRD pattern of KNiPdSe5 was simulated for λ = 1.5418 Å (Cu Kα).

Largest 8 diffraction maxima, by intensity, 10° ≤ 2θ ≤ 80°:
- 2θ 31.57, rel. 100, hkl 1 2 1
- 2θ 29.05, rel. 47, hkl 1 2 0
- 2θ 30.88, rel. 40, hkl 1 0 -3
- 2θ 47.43, rel. 36, hkl 0 2 4
- 2θ 50.64, rel. 24, hkl 0 4 0
- 2θ 46.99, rel. 22, hkl 2 2 2
- 2θ 32.81, rel. 22, hkl 2 1 -1
- 2θ 38.90, rel. 19, hkl 2 0 -3

Cell: 5.9699 7.2108 9.1919 Å, 90.00 99.96 90.00°
Space group P2_1/m (No. 11)
Unique sites:
K (0.2270, 0.2500, 0.4524) (multiplicity 2)
Ni (0.3554, 0.2500, 0.9114) (multiplicity 2)
Pd (0.0000, 0.0000, 0.0000) (multiplicity 2)
Se (0.1945, 0.5074, 0.7815) (multiplicity 4)
Se (0.2358, 0.7500, 0.3875) (multiplicity 2)
Se (0.2599, 0.7500, 0.1292) (multiplicity 2)
Se (0.4964, 0.7500, 0.8407) (multiplicity 2)



4.
Starting from a DFT-relaxed cell (GGA-PBE, OQMD), the powder XRD pattern of KRbNiSeS2 was simulated for λ = 1.5418 Å (Cu Kα).

Largest 8 diffraction maxima, by intensity, 10° ≤ 2θ ≤ 80°:
- 2θ 26.89, rel. 100, hkl -2 1 1
- 2θ 15.62, rel. 86, hkl 1 -1 0
- 2θ 29.17, rel. 82, hkl 0 2 -1
- 2θ 29.05, rel. 59, hkl 0 1 2
- 2θ 40.09, rel. 36, hkl 2 -3 0
- 2θ 27.89, rel. 30, hkl 1 1 -2
- 2θ 32.89, rel. 29, hkl 0 1 -3
- 2θ 33.54, rel. 21, hkl -1 2 2

Cell: 6.6323 7.0113 8.9855 Å, 90.99 111.07 118.03°
Space group P-1 (No. 2)
Unique sites:
K (0.2277, 0.2964, 0.1371) (multiplicity 2)
Rb (0.3626, 0.0625, 0.6611) (multiplicity 2)
Ni (0.0523, 0.4585, 0.6481) (multiplicity 2)
Se (0.2795, 0.6763, 0.9071) (multiplicity 2)
S (0.0388, 0.8281, 0.2519) (multiplicity 2)
S (0.2594, 0.5055, 0.5013) (multiplicity 2)



5.
Starting from a DFT-relaxed cell (GGA-PBE, OQMD), the powder XRD pattern of K2Ni2S5 was simulated for λ = 1.5418 Å (Cu Kα).

Largest 8 diffraction maxima, by intensity, 10° ≤ 2θ ≤ 80°:
- 2θ 15.47, rel. 100, hkl 1 1 -1
- 2θ 14.82, rel. 86, hkl 1 1 0
- 2θ 33.07, rel. 76, hkl 2 2 1
- 2θ 28.50, rel. 62, hkl 3 1 -1
- 2θ 27.36, rel. 58, hkl 1 1 -3
- 2θ 17.54, rel. 47, hkl 0 0 2
- 2θ 35.37, rel. 40, hkl 1 1 -4
- 2θ 33.26, rel. 29, hkl 1 1 3

Cell: 10.3135 7.6201 10.8187 Å, 90.00 110.80 90.00°
Space group C2/c (No. 15)
Unique sites:
K (0.2318, 0.1778, 0.3198) (multiplicity 8)
Ni (0.0927, 0.3401, 0.9455) (multiplicity 8)
S (0.0000, 0.2034, 0.7500) (multiplicity 4)
S (0.0018, 0.3989, 0.1007) (multiplicity 8)
S (0.1893, 0.0867, 0.0244) (multiplicity 8)



6.
Starting from a DFT-relaxed cell (GGA-PBE, OQMD), the powder XRD pattern of KScNiS3 was simulated for λ = 1.5418 Å (Cu Kα).

Largest 8 diffraction maxima, by intensity, 10° ≤ 2θ ≤ 80°:
- 2θ 12.29, rel. 100, hkl 1 0 -1
- 2θ 31.90, rel. 33, hkl 2 1 -1
- 2θ 32.70, rel. 32, hkl 2 1 0
- 2θ 11.06, rel. 26, hkl 1 0 0
- 2θ 47.34, rel. 20, hkl 2 1 -4
- 2θ 48.44, rel. 15, hkl 0 2 0
- 2θ 31.10, rel. 14, hkl 1 1 -2
- 2θ 36.80, rel. 13, hkl 1 0 3

Cell: 8.5062 3.7584 9.1264 Å, 90.00 109.92 90.00°
Space group P2_1/m (No. 11)
Unique sites:
K (0.2045, 0.2500, 0.2328) (multiplicity 2)
Sc (0.3322, 0.7500, 0.8620) (multiplicity 2)
Ni (0.0801, 0.2500, 0.5983) (multiplicity 2)
S (0.1222, 0.2500, 0.8563) (multiplicity 2)
S (0.1912, 0.7500, 0.5450) (multiplicity 2)
S (0.4652, 0.7500, 0.1565) (multiplicity 2)



7.
Starting from a DFT-relaxed cell (GGA-PBE, OQMD), the powder XRD pattern of K2Ni2Se5 was simulated for λ = 1.5418 Å (Cu Kα).

Largest 8 diffraction maxima, by intensity, 10° ≤ 2θ ≤ 80°:
- 2θ 14.70, rel. 100, hkl 1 1 -1
- 2θ 27.51, rel. 80, hkl 2 2 -1
- 2θ 34.61, rel. 67, hkl 1 1 -4
- 2θ 13.91, rel. 54, hkl 1 1 0
- 2θ 29.03, rel. 54, hkl 3 1 0
- 2θ 32.14, rel. 50, hkl 1 1 3
- 2θ 35.58, rel. 47, hkl 1 3 1
- 2θ 17.19, rel. 41, hkl 0 0 2

Cell: 10.5511 8.2875 10.9495 Å, 90.00 109.61 90.00°
Space group C2/c (No. 15)
Unique sites:
K (0.2392, 0.1775, 0.3180) (multiplicity 8)
Ni (0.0949, 0.3399, 0.9460) (multiplicity 8)
Se (0.0000, 0.1798, 0.7500) (multiplicity 4)
Se (0.0027, 0.4061, 0.3859) (multiplicity 8)
Se (0.1776, 0.0848, 0.0126) (multiplicity 8)



8.
Starting from a DFT-relaxed cell (GGA-PBE, OQMD), the powder XRD pattern of KTbTmNi2 was simulated for λ = 1.5418 Å (Cu Kα).

Largest 8 diffraction maxima, by intensity, 10° ≤ 2θ ≤ 80°:
- 2θ 36.46, rel. 100, hkl 1 1 3
- 2θ 41.94, rel. 61, hkl 1 1 5
- 2θ 26.76, rel. 58, hkl 0 1 3
- 2θ 33.43, rel. 47, hkl 1 1 1
- 2θ 30.24, rel. 39, hkl 0 0 6
- 2θ 31.69, rel. 29, hkl 1 0 4
- 2θ 51.63, rel. 25, hkl 0 1 9
- 2θ 44.96, rel. 24, hkl 0 2 0

Cell: 3.6625 4.0328 17.7323 Å, 90.00 90.00 90.00°
Space group Amm2 (No. 38)
Unique sites:
K (0.0000, 0.0000, 0.0000) (multiplicity 2)
Tb (0.5000, 0.0000, 0.3285) (multiplicity 2)
Tm (0.5000, 0.0000, 0.6690) (multiplicity 2)
Ni (0.0000, 0.0000, 0.2034) (multiplicity 2)
Ni (0.0000, 0.0000, 0.7889) (multiplicity 2)



9.
Starting from a DFT-relaxed cell (GGA-PBE, OQMD), the powder XRD pattern of K2OsO5 was simulated for λ = 1.5418 Å (Cu Kα).

Largest 8 diffraction maxima, by intensity, 10° ≤ 2θ ≤ 80°:
- 2θ 20.17, rel. 100, hkl 1 1 1
- 2θ 27.96, rel. 47, hkl 1 1 2
- 2θ 29.37, rel. 46, hkl 3 0 0
- 2θ 22.16, rel. 34, hkl 0 0 2
- 2θ 25.84, rel. 22, hkl 1 2 0
- 2θ 16.83, rel. 22, hkl 1 1 0
- 2θ 41.00, rel. 22, hkl 2 2 2
- 2θ 37.10, rel. 21, hkl 3 0 2

Cell: 10.5336 10.5336 8.0217 Å, 90.00 90.00 120.00°
Space group P-6 (No. 174)
Unique sites:
K (0.0000, 0.0000, 0.2472) (multiplicity 2)
K (0.0278, 0.7095, 0.5000) (multiplicity 3)
K (0.3333, 0.6667, 0.2492) (multiplicity 2)
K (0.3755, 0.0233, 0.0000) (multiplicity 3)
K (0.6667, 0.3333, 0.2506) (multiplicity 2)
Os (0.0261, 0.7128, 0.0000) (multiplicity 3)
Os (0.3816, 0.0281, 0.5000) (multiplicity 3)
O (0.1110, 0.8047, 0.1899) (multiplicity 6)
O (0.1396, 0.6276, 0.0000) (multiplicity 3)
O (0.1700, 0.4747, 0.5000) (multiplicity 3)
O (0.1962, 0.1136, 0.0000) (multiplicity 3)
O (0.2035, 0.0120, 0.5000) (multiplicity 3)
O (0.4628, 0.3233, 0.0000) (multiplicity 3)
O (0.4694, 0.2273, 0.5000) (multiplicity 3)
O (0.4729, 0.0374, 0.3089) (multiplicity 6)



10.
Starting from a DFT-relaxed cell (GGA-PBE, OQMD), the powder XRD pattern of KPOsO was simulated for λ = 1.5418 Å (Cu Kα).

Largest 8 diffraction maxima, by intensity, 10° ≤ 2θ ≤ 80°:
- 2θ 11.50, rel. 100, hkl 0 1 0
- 2θ 27.46, rel. 40, hkl 1 1 0
- 2θ 27.81, rel. 22, hkl 0 2 1
- 2θ 32.96, rel. 19, hkl 0 1 2
- 2θ 41.71, rel. 17, hkl 1 1 2
- 2θ 39.95, rel. 16, hkl 1 0 2
- 2θ 46.24, rel. 16, hkl 1 3 1
- 2θ 34.19, rel. 14, hkl 1 2 0

Cell: 3.5833 7.6976 5.8094 Å, 90.00 90.00 90.00°
Space group Pmc2_1 (No. 26)
Unique sites:
K (0.0000, 0.1243, 0.0000) (multiplicity 2)
P (0.0000, 0.3129, 0.4973) (multiplicity 2)
Os (0.5000, 0.4448, 0.6598) (multiplicity 2)
O (0.5000, 0.3432, 0.9728) (multiplicity 2)



11.
Starting from a DFT-relaxed cell (GGA-PBE, OQMD), the powder XRD pattern of K4P2PdO8 was simulated for λ = 1.5418 Å (Cu Kα).

Largest 8 diffraction maxima, by intensity, 10° ≤ 2θ ≤ 80°:
- 2θ 29.78, rel. 100, hkl 1 1 2
- 2θ 28.04, rel. 88, hkl -1 1 1
- 2θ 38.56, rel. 73, hkl 2 1 -1
- 2θ 32.19, rel. 69, hkl 0 2 1
- 2θ 18.90, rel. 65, hkl 1 0 1
- 2θ 23.90, rel. 61, hkl 1 -1 0
- 2θ 19.09, rel. 54, hkl 0 1 1
- 2θ 33.51, rel. 46, hkl 2 0 1

Cell: 5.5472 6.0456 7.2673 Å, 86.76 80.20 80.61°
Space group P-1 (No. 2)
Unique sites:
K (0.1482, 0.1831, 0.3602) (multiplicity 2)
K (0.2339, 0.7189, 0.9899) (multiplicity 2)
P (0.3167, 0.2293, 0.7750) (multiplicity 2)
Pd (0.5000, 0.5000, 0.5000) (multiplicity 1)
O (0.1823, 0.4489, 0.6788) (multiplicity 2)
O (0.2304, 0.0209, 0.7169) (multiplicity 2)
O (0.2770, 0.2529, 0.9874) (multiplicity 2)
O (0.4029, 0.7548, 0.3132) (multiplicity 2)